This entry pairs a crystal structure of GaBi3 with its calculated PXRD pattern. Radiation: Cu Kα (weighted mean of Kα1 and Kα2). Structure: DFT lattice parameters and positions (GGA-PBE).
Neutral-atom scattering factors, no anomalous dispersion.

Crystal structure
```
GaBi3
1.0
4.918 0.000 0.000
0.000 4.918 0.000
0.000 0.000 4.918
Ga Bi
1 3
Direct
0.000 0.000 0.000
0.000 0.500 0.500
0.500 0.000 0.500
0.500 0.500 0.000
```

Top 10 peaks for 2θ from 5° to 70°, in order of falling intensity:
two_theta, I/Imax
31.5, 1000
36.5, 509
62.7, 437
52.6, 365
65.8, 126
18.0, 102
25.6, 91
41.0, 55
45.2, 43
56.1, 29


This entry pairs a crystal structure of Ba2ReO5 with its calculated PXRD pattern. Radiation: Cu Kα (weighted mean of Kα1 and Kα2). Structure: DFT lattice parameters and positions (GGA-PBE).
Neutral-atom scattering factors, no anomalous dispersion.

Crystal structure
```
Ba2ReO5
1.0
7.454 0.000 0.000
0.000 5.757 0.000
0.000 0.000 11.720
Ba Re O
8 4 20
Direct
0.022 0.250 0.215
0.165 0.750 0.420
0.335 0.250 0.920
0.478 0.750 0.715
0.522 0.250 0.285
0.665 0.750 0.080
0.835 0.250 0.580
0.978 0.750 0.785
0.169 0.750 0.063
0.331 0.250 0.563
0.669 0.750 0.437
0.831 0.250 0.937
0.000 0.000 0.000
0.000 0.500 0.000
0.022 0.750 0.193
0.178 0.012 0.615
0.178 0.488 0.615
0.222 0.250 0.410
0.278 0.750 0.910
0.322 0.512 0.115
0.322 0.988 0.115
0.478 0.250 0.693
0.500 0.000 0.500
0.500 0.500 0.500
0.522 0.750 0.307
0.678 0.012 0.885
0.678 0.488 0.885
0.722 0.250 0.090
0.778 0.750 0.590
0.822 0.512 0.385
0.822 0.988 0.385
0.978 0.250 0.807
```

Top 10 peaks for 2θ from 5° to 70°, in order of falling intensity:
two_theta, I/Imax
27.6, 1000
31.1, 468
32.4, 356
28.5, 338
29.6, 325
28.4, 312
42.6, 278
40.3, 240
46.1, 222
33.2, 192


This entry pairs a crystal structure of DyNbO4 with its calculated PXRD pattern. Radiation: Cu Kα (weighted mean of Kα1 and Kα2). Structure: DFT lattice parameters and positions (GGA-PBE).
Neutral-atom scattering factors, no anomalous dispersion.

Crystal structure
```
DyNbO4
1.0
-2.626 2.626 5.562
2.626 -2.626 5.562
2.626 2.626 -5.562
Dy Nb O
2 2 8
Direct
0.000 0.000 0.000
0.750 0.250 0.500
0.244 0.744 0.500
0.494 0.494 0.000
0.090 0.013 0.420
0.157 0.580 0.920
0.330 0.910 0.923
0.420 0.340 0.577
0.593 0.670 0.580
0.660 0.237 0.080
0.763 0.843 0.423
0.987 0.407 0.077
```

Top 10 peaks for 2θ from 5° to 70°, in order of falling intensity:
two_theta, I/Imax
28.9, 1000
47.6, 315
57.9, 280
34.1, 204
55.4, 158
49.1, 147
32.2, 127
59.9, 107
18.7, 73
39.2, 42


This entry pairs a crystal structure of Eu2NbInO6 with its calculated PXRD pattern. Radiation: Cu Kα (weighted mean of Kα1 and Kα2). Structure: DFT lattice parameters and positions (GGA-PBE).
Neutral-atom scattering factors, no anomalous dispersion.

Crystal structure
```
Eu2NbInO6
1.0
0.000 4.125 4.125
4.125 0.000 4.125
4.125 4.125 0.000
Eu Nb In O
2 1 1 6
Direct
0.250 0.250 0.250
0.750 0.750 0.750
0.000 0.000 0.000
0.500 0.500 0.500
0.245 0.245 0.755
0.245 0.755 0.245
0.245 0.755 0.755
0.755 0.245 0.245
0.755 0.245 0.755
0.755 0.755 0.245
```

Top 8 peaks for 2θ from 5° to 70°, in order of falling intensity:
two_theta, I/Imax
30.7, 1000
54.5, 398
43.9, 295
63.8, 181
37.8, 59
21.5, 14
49.4, 10
68.2, 6


This entry pairs a crystal structure of FeAu with its calculated PXRD pattern. Radiation: Cu Kα (weighted mean of Kα1 and Kα2). Structure: DFT lattice parameters and positions (GGA-PBE).
Neutral-atom scattering factors, no anomalous dispersion.

Crystal structure
```
FeAu
1.0
1.412 0.815 4.469
-1.412 0.815 4.469
0.000 -1.630 4.469
Fe Au
1 1
Direct
0.000 0.000 0.000
0.500 0.500 0.500
```

Top 10 peaks for 2θ from 5° to 70°, in order of falling intensity:
two_theta, I/Imax
39.2, 1000
45.9, 636
19.9, 509
37.4, 336
40.4, 308
66.2, 211
67.8, 197
50.5, 148
69.9, 119
61.5, 85